# LaZnFeSnO6
Computed XRD peak list, Cu Kα (weighted mean of Kα1 and Kα2). Input: a structure optimized by DFT (GGA+U).
Lines closer than 0.1° are merged.

Lattice parameters (Å, degrees): 5.643 5.643 5.643 60.00 60.00 60.00
Element x y z (fractional)
La1 0.000 0.000 0.000
Zn1 0.500 0.500 0.500
Fe1 0.750 0.750 0.750
Sn1 0.250 0.250 0.250
O1 0.503 0.503 0.997
O2 0.503 0.997 0.503
O3 0.503 0.997 0.997
O4 0.997 0.503 0.503
O5 0.997 0.503 0.997
O6 0.997 0.997 0.503

Principal peaks in the range 10° ≤ 2θ ≤ 90°, by angle:
Position (°2θ)  I/Imax
19.3  14
31.7  100
37.4  8
39.1  5
45.5  34
49.8  4
56.5  40
66.2  20
75.3  17
84.0  7

# Sr2AlGaNi2O7
Computed XRD peak list, Cu Kα (weighted mean of Kα1 and Kα2). Input: a structure optimized by DFT (GGA+U).
Lines closer than 0.1° are merged.

Lattice parameters (Å, degrees): 11.704 11.704 5.645 96.46 96.46 25.55
Element x y z (fractional)
Sr1 0.242 0.758 0.500
Sr2 0.447 0.952 0.494
Sr3 0.758 0.242 0.000
Sr4 0.952 0.447 0.994
Al1 0.102 0.598 0.247
Al2 0.598 0.102 0.747
Ga1 0.292 0.904 0.040
Ga2 0.904 0.292 0.540
Ni1 0.061 0.525 0.609
Ni2 0.139 0.675 0.882
Ni3 0.525 0.061 0.109
Ni4 0.675 0.139 0.382
O1 0.017 0.824 0.217
O2 0.183 0.374 0.275
O3 0.225 0.968 0.372
O4 0.314 0.443 0.570
O5 0.327 0.717 0.937
O6 0.374 0.183 0.775
O7 0.443 0.314 0.070
O8 0.467 0.886 0.035
O9 0.717 0.327 0.437
O10 0.756 0.884 0.421
O11 0.824 0.017 0.717
O12 0.884 0.756 0.921
O13 0.886 0.467 0.535
O14 0.968 0.225 0.872

Principal peaks in the range 10° ≤ 2θ ≤ 90°, by angle:
Position (°2θ)  I/Imax
29.4  68
31.9  100
32.0  18
34.7  42
39.7  28
41.4  19
47.9  25
53.8  20
54.9  20
60.4  16

# Li5Mn3Nb2O10
Computed XRD peak list, Cu Kα (weighted mean of Kα1 and Kα2). Input: a structure optimized by DFT (GGA+U).
Lines closer than 0.1° are merged.

Lattice parameters (Å, degrees): 5.355 8.125 10.637 72.02 79.90 71.77
Element x y z (fractional)
Li1 0.000 0.000 0.250
Li2 0.000 0.000 0.750
Li3 0.115 0.280 0.008
Li4 0.116 0.280 0.507
Li5 0.272 0.902 0.506
Li6 0.273 0.902 0.005
Li7 0.727 0.098 0.995
Li8 0.728 0.098 0.494
Li9 0.884 0.720 0.493
Li10 0.885 0.720 0.992
Mn1 0.192 0.601 0.754
Mn2 0.192 0.602 0.254
Mn3 0.500 0.500 0.000
Mn4 0.500 0.500 0.500
Mn5 0.808 0.398 0.746
Mn6 0.808 0.399 0.246
Nb1 0.404 0.186 0.757
Nb2 0.405 0.185 0.257
Nb3 0.595 0.815 0.743
Nb4 0.596 0.814 0.243
O1 0.078 0.152 0.868
O2 0.079 0.152 0.369
O3 0.173 0.427 0.133
O4 0.173 0.427 0.632
O5 0.277 0.756 0.369
O6 0.277 0.756 0.869
O7 0.347 0.044 0.631
O8 0.348 0.044 0.131
O9 0.451 0.339 0.871
O10 0.452 0.340 0.370
O11 0.548 0.660 0.630
O12 0.549 0.661 0.129
O13 0.652 0.956 0.869
O14 0.653 0.956 0.369
O15 0.723 0.244 0.131
O16 0.723 0.244 0.631
O17 0.827 0.573 0.368
O18 0.827 0.573 0.867
O19 0.921 0.848 0.631
O20 0.922 0.848 0.132

Principal peaks in the range 10° ≤ 2θ ≤ 90°, by angle:
Position (°2θ)  I/Imax
17.6  100
21.9  19
25.6  13
28.7  14
33.6  14
34.4  13
35.7  26
40.6  38
41.6  33
41.9  33

# MgMn6O8F4
Computed XRD peak list, Cu Kα (weighted mean of Kα1 and Kα2). Input: a structure optimized by DFT (GGA+U).
Lines closer than 0.1° are merged.

Lattice parameters (Å, degrees): 5.813 5.922 7.714 105.99 98.68 114.34
Element x y z (fractional)
Mg1 0.000 0.000 0.000
Mn1 0.309 0.514 0.345
Mn2 0.339 0.917 0.783
Mn3 0.623 0.019 0.190
Mn4 0.635 0.469 0.648
Mn5 0.979 0.985 0.496
Mn6 0.983 0.486 0.004
O1 0.004 0.144 0.296
O2 0.235 0.388 0.073
O3 0.256 0.838 0.013
O4 0.351 0.138 0.636
O5 0.403 0.617 0.614
O6 0.607 0.850 0.372
O7 0.704 0.120 0.971
O8 0.955 0.827 0.700
F1 0.033 0.661 0.304
F2 0.566 0.328 0.354
F3 0.733 0.631 0.962
F4 0.889 0.339 0.700

Principal peaks in the range 10° ≤ 2θ ≤ 90°, by angle:
Position (°2θ)  I/Imax
22.8  100
28.1  74
35.1  37
35.2  22
35.5  29
35.9  26
48.7  25
49.2  22
54.5  18
62.4  20